No. 1
Simulated X-ray powder pattern
Compound: KLuMo2O8
Radiation: Cu Kα X-rays
Structure: a cell relaxed with GGA+U

Largest 6 diffraction maxima, in order of rising 2θ, 2θ from 15° to 90°:
hkl 1 0 1, 2θ 20.45, d 4.342, I = 100
hkl 1 0 2, 2θ 28.35, d 3.148, I = 58
hkl 1 1 0, 2θ 29.80, d 2.998, I = 51
hkl 2 0 2, 2θ 41.60, d 2.171, I = 26
hkl 2 1 1, 2θ 47.74, d 1.905, I = 20
hkl 2 1 2, 2θ 52.00, d 1.759, I = 21

Structure:
a = 5.9966 Å, b = 5.9966 Å, c = 7.9168 Å
α = 90.00°, β = 90.00°, γ = 120.00°
Space group P-3m1 (No. 164)
Unique sites:
K  0.0000  0.0000  0.0000 x1
Lu  0.0000  0.0000  0.5000 x1
Mo  0.3333  0.6667  0.2613 x2
O  0.1680  0.3360  0.3336 x6
O  0.3333  0.6667  0.0405 x2

=====

No. 2
Simulated X-ray powder pattern
Compound: K2RbLuV2O8
Radiation: Cu Kα X-rays
Structure: a cell relaxed with GGA+U

Largest 6 diffraction maxima, in order of rising 2θ, 2θ from 15° to 90°:
hkl 1 0 0, 2θ 17.17, d 5.165, I = 42
hkl 1 0 1, 2θ 20.65, d 4.301, I = 27
hkl 0 1 2, 2θ 28.76, d 3.104, I = 100
hkl 1 1 0, 2θ 29.97, d 2.982, I = 85
hkl 2 0 2, 2θ 42.01, d 2.150, I = 47
hkl 1 2 2, 2θ 52.46, d 1.744, I = 36

Structure:
a = 5.9636 Å, b = 5.9636 Å, c = 7.7689 Å
α = 90.00°, β = 90.00°, γ = 120.00°
Space group P-3m1 (No. 164)
Unique sites:
K  0.3333  0.6667  0.2015 x2
Rb  0.0000  0.0000  0.5000 x1
Lu  0.0000  0.0000  0.0000 x1
V  0.3333  0.6667  0.7544 x2
O  0.1723  0.3446  0.8316 x6
O  0.3333  0.6667  0.5376 x2

=====

No. 3
Simulated X-ray powder pattern
Compound: KLuW2O8
Radiation: Cu Kα X-rays
Structure: a cell relaxed with GGA+U

Largest 6 diffraction maxima, in order of rising 2θ, 2θ from 15° to 90°:
hkl 2 2 0, 2θ 27.32, d 3.264, I = 100
hkl 2 2 -2, 2θ 29.51, d 3.027, I = 96
hkl 0 0 2, 2θ 31.85, d 2.809, I = 34
hkl 4 0 -2, 2θ 32.74, d 2.735, I = 23
hkl 3 1 0, 2θ 33.33, d 2.688, I = 23
hkl 1 3 2, 2θ 48.05, d 1.893, I = 30

Structure:
a = 11.0168 Å, b = 10.4844 Å, c = 7.4187 Å
α = 90.00°, β = 130.76°, γ = 90.00°
Space group C2/c (No. 15)
Unique sites:
K  0.0000  0.2098  0.2500 x4
Lu  0.0000  0.2232  0.7500 x4
W  0.1971  0.4959  0.7104 x8
O  0.0130  0.3872  0.9577 x8
O  0.1380  0.1015  0.6971 x8
O  0.1886  0.4341  0.4418 x8
O  0.1987  0.1500  0.1135 x8

=====

No. 4
Simulated X-ray powder pattern
Compound: KMgMn2Mo2O10
Radiation: Cu Kα X-rays
Structure: a cell relaxed with GGA+U

Largest 6 diffraction maxima, in order of rising 2θ, 2θ from 15° to 90°:
hkl 0 1 -1, 2θ 16.81, d 5.275, I = 51
hkl -1 1 1, 2θ 21.99, d 4.042, I = 100
hkl 0 1 1, 2θ 24.95, d 3.569, I = 51
hkl 1 0 -2, 2θ 25.13, d 3.543, I = 54
hkl 1 -1 2, 2θ 28.70, d 3.110, I = 78
hkl 0 2 -1, 2θ 32.13, d 2.786, I = 40

Structure:
a = 6.1426 Å, b = 6.1822 Å, c = 7.9683 Å
α = 106.97°, β = 98.22°, γ = 115.55°
Space group P1 (No. 1)
Unique sites:
K  0.0000  0.0000  0.0000 x1
Mg  0.0581  0.5821  0.6216 x1
Mn  0.0108  0.9782  0.4784 x1
Mn  0.4980  0.4600  0.4606 x1
Mo  0.4167  0.7943  0.1877 x1
Mo  0.6075  0.1726  0.7651 x1
O  0.1925  0.3492  0.5547 x1
O  0.2547  0.9879  0.6976 x1
O  0.2868  0.7179  0.9498 x1
O  0.3021  0.5046  0.2321 x1
O  0.3244  0.0154  0.3259 x1
O  0.7155  0.9577  0.6535 x1
O  0.7288  0.2680  0.0009 x1
O  0.7439  0.4618  0.7123 x1
O  0.7599  0.9401  0.2574 x1
O  0.8448  0.6196  0.4281 x1

=====

No. 5
Simulated X-ray powder pattern
Compound: KMgMn2Mo2O10
Radiation: Cu Kα X-rays
Structure: a cell relaxed with GGA+U

Largest 6 diffraction maxima, in order of rising 2θ, 2θ from 15° to 90°:
hkl 1 0 0, 2θ 17.00, d 5.214, I = 53
hkl 0 1 1, 2θ 25.03, d 3.558, I = 73
hkl 1 0 -2, 2θ 25.36, d 3.512, I = 70
hkl 1 -1 2, 2θ 26.20, d 3.401, I = 100
hkl 2 -1 0, 2θ 29.01, d 3.078, I = 100
hkl -1 1 2, 2θ 31.29, d 2.859, I = 73

Structure:
a = 6.1569 Å, b = 6.1680 Å, c = 8.3566 Å
α = 109.10°, β = 91.97°, γ = 119.45°
Space group P1 (No. 1)
Unique sites:
K  0.0000  0.0000  0.0000 x1
Mg  0.0292  0.5372  0.5036 x1
Mn  0.0279  0.0369  0.5062 x1
Mn  0.5249  0.5310  0.4997 x1
Mo  0.4404  0.8712  0.2501 x1
Mo  0.6170  0.2028  0.7581 x1
O  0.2241  0.4172  0.6041 x1
O  0.2663  0.9846  0.6635 x1
O  0.2946  0.5956  0.3245 x1
O  0.2958  0.0731  0.3176 x1
O  0.3889  0.7438  0.0238 x1
O  0.6820  0.3489  0.9846 x1
O  0.7584  0.9976  0.6920 x1
O  0.7594  0.4714  0.6774 x1
O  0.7893  0.0893  0.3487 x1
O  0.8331  0.6567  0.4038 x1

=====

No. 6
Simulated X-ray powder pattern
Compound: KMg6MnO8
Radiation: Cu Kα X-rays
Structure: a cell relaxed with GGA+U

Largest 6 diffraction maxima, in order of rising 2θ, 2θ from 15° to 90°:
hkl 1 1 2, 2θ 35.16, d 2.553, I = 29
hkl 2 0 0, 2θ 40.11, d 2.248, I = 100
hkl 0 0 4, 2θ 42.21, d 2.141, I = 40
hkl 2 2 0, 2θ 58.03, d 1.590, I = 29
hkl 2 0 4, 2θ 59.64, d 1.550, I = 50
hkl 2 2 4, 2θ 74.32, d 1.276, I = 23

Structure:
a = 4.4958 Å, b = 4.4958 Å, c = 8.5643 Å
α = 90.00°, β = 90.00°, γ = 90.00°
Space group P4/mmm (No. 123)
Unique sites:
K  0.0000  0.0000  0.0000 x1
Mg  0.0000  0.5000  0.2458 x4
Mg  0.5000  0.5000  0.0000 x1
Mg  0.5000  0.5000  0.5000 x1
Mn  0.0000  0.0000  0.5000 x1
O  0.0000  0.0000  0.2803 x2
O  0.0000  0.5000  0.0000 x2
O  0.0000  0.5000  0.5000 x2
O  0.5000  0.5000  0.2529 x2

=====

No. 7
Simulated X-ray powder pattern
Compound: KMgMn16O32
Radiation: Cu Kα X-rays
Structure: a cell relaxed with GGA+U

Largest 6 diffraction maxima, in order of rising 2θ, 2θ from 15° to 90°:
hkl 0 0 2, 2θ 16.88, d 5.254, I = 69
hkl 0 2 0, 2θ 18.62, d 4.765, I = 100
hkl 0 1 -3, 2θ 27.35, d 3.261, I = 37
hkl 0 3 1, 2θ 29.16, d 3.062, I = 48
hkl 0 0 4, 2θ 34.13, d 2.627, I = 45
hkl 2 -1 2, 2θ 36.28, d 2.476, I = 43

Structure:
a = 5.9013 Å, b = 9.5333 Å, c = 10.5106 Å
α = 88.57°, β = 89.83°, γ = 89.64°
Space group P1 (No. 1)
Unique sites:
K  0.0000  0.0000  0.0000 x1
Mg  0.0088  0.9756  0.7468 x1
Mn  0.9999  0.3313  0.0715 x1
Mn  0.0000  0.8336  0.2699 x1
Mn  0.0006  0.6637  0.7793 x1
Mn  0.2479  0.1731  0.2778 x1
Mn  0.2485  0.3376  0.7675 x1
Mn  0.2499  0.6555  0.0867 x1
Mn  0.2569  0.8167  0.5648 x1
Mn  0.4994  0.6771  0.7871 x1
Mn  0.4998  0.1487  0.5865 x1
Mn  0.4999  0.3271  0.0690 x1
Mn  0.5006  0.8382  0.2656 x1
Mn  0.7484  0.1732  0.2785 x1
Mn  0.7490  0.6558  0.0868 x1
Mn  0.7516  0.3378  0.7671 x1
Mn  0.7524  0.8183  0.5670 x1
Mn  0.9990  0.1720  0.5695 x1
O  0.0001  0.3038  0.8861 x1
O  0.0001  0.3562  0.6428 x1
O  0.9998  0.6408  0.2076 x1
O  0.0006  0.9551  0.5596 x1
O  0.0036  0.6859  0.5914 x1
O  0.2294  0.8117  0.7682 x1
O  0.2309  0.1355  0.7059 x1
O  0.2453  0.1888  0.4577 x1
O  0.2466  0.5359  0.7859 x1
O  0.2482  0.8480  0.1448 x1
O  0.2498  0.1963  0.0868 x1
O  0.2508  0.4574  0.0627 x1
O  0.2539  0.8076  0.3807 x1
O  0.4978  0.3067  0.2551 x1
O  0.4995  0.6432  0.2086 x1
O  0.4994  0.6924  0.9709 x1
O  0.5004  0.0418  0.2790 x1
O  0.5008  0.3033  0.8844 x1
O  0.5015  0.3415  0.6468 x1
O  0.5034  0.9485  0.5654 x1
O  0.5078  0.6882  0.6000 x1
O  0.7474  0.1907  0.4610 x1
O  0.7477  0.4571  0.0627 x1
O  0.7480  0.8018  0.3836 x1
O  0.7484  0.8479  0.1417 x1
O  0.7505  0.5390  0.7875 x1
O  0.7516  0.1958  0.0891 x1
O  0.7774  0.8181  0.7579 x1
O  0.7814  0.1382  0.7124 x1
O  0.9979  0.3067  0.2569 x1
O  0.9985  0.0408  0.2732 x1
O  0.9989  0.6909  0.9685 x1

=====

No. 8
Simulated X-ray powder pattern
Compound: K8MgMn4O16
Radiation: Cu Kα X-rays
Structure: a cell relaxed with GGA+U

Largest 6 diffraction maxima, in order of rising 2θ, 2θ from 15° to 90°:
hkl 1 1 -1, 2θ 20.57, d 4.318, I = 30
hkl 1 2 1, 2θ 26.76, d 3.332, I = 30
hkl 0 2 2, 2θ 27.58, d 3.235, I = 27
hkl 1 0 3, 2θ 28.01, d 3.185, I = 100
hkl 2 0 0, 2θ 28.46, d 3.136, I = 44
hkl 1 0 -3, 2θ 30.77, d 2.906, I = 51

Structure:
a = 6.3117 Å, b = 7.9929 Å, c = 10.4745 Å
α = 87.34°, β = 83.79°, γ = 88.29°
Space group P1 (No. 1)
Unique sites:
K  0.0000  0.0000  0.0000 x1
K  0.0023  0.7098  0.6782 x1
K  0.4419  0.2820  0.8525 x1
K  0.4741  0.9883  0.5617 x1
K  0.5111  0.5032  0.4745 x1
K  0.5432  0.8611  0.2200 x1
K  0.8477  0.4601  0.0357 x1
K  0.9711  0.1916  0.3646 x1
Mg  0.2344  0.5594  0.1516 x1
Mn  0.0381  0.7407  0.3472 x1
Mn  0.4501  0.2710  0.1990 x1
Mn  0.4926  0.7459  0.8653 x1
Mn  0.9604  0.2401  0.6877 x1
O  0.0098  0.5317  0.3151 x1
O  0.0522  0.0469  0.6619 x1
O  0.1359  0.7993  0.1865 x1
O  0.1479  0.3781  0.6411 x1
O  0.2153  0.3033  0.1235 x1
O  0.2376  0.7664  0.4405 x1
O  0.3324  0.6081  0.9555 x1
O  0.3796  0.9352  0.8568 x1
O  0.4108  0.1772  0.3465 x1
O  0.5138  0.4828  0.2100 x1
O  0.5376  0.6803  0.7162 x1
O  0.6424  0.1723  0.1030 x1
O  0.7228  0.7542  0.9292 x1
O  0.7434  0.2712  0.6096 x1
O  0.8080  0.8426  0.4007 x1
O  0.8917  0.2616  0.8446 x1